(1)
For Li2MnSi4O10, the GGA+U geometry in the Materials Project gives the calculated powder diffractogram in this record (Cu Kα X-rays).

Peak list (6 most intense, 10° ≤ 2θ ≤ 90°, by intensity)
d/Å  I (rel.)  hkl
3.798  100  1 2 1
3.140  74  0 1 3
6.458  71  0 1 0
4.538  61  0 0 2
3.756  56  1 -1 0
3.101  50  2 0 0

Cell and atoms:
Lattice parameters (Å, degrees): 6.975 7.639 9.768 68.48 77.98 62.87
Space group P-1 (No. 2)
Symmetry-distinct sites (fractional):
Li 0.033 0.186 0.423 x2
Li 0.361 0.251 0.055 x2
Mn 0.437 0.807 0.577 x2
Si 0.116 0.777 0.858 x2
Si 0.201 0.551 0.186 x2
Si 0.249 0.142 0.745 x2
Si 0.305 0.886 0.238 x2
O 0.048 0.364 0.747 x2
O 0.153 0.114 0.122 x2
O 0.194 0.950 0.862 x2
O 0.196 0.716 0.710 x2
O 0.199 0.576 0.008 x2
O 0.232 0.882 0.406 x2
O 0.306 0.127 0.579 x2
O 0.310 0.696 0.195 x2
O 0.337 0.308 0.259 x2
O 0.452 0.122 0.820 x2

***

(2)
For Li2MnSiO5, the GGA+U geometry in the Materials Project gives the calculated powder diffractogram in this record (Cu Kα X-rays).

Peak list (6 most intense, 10° ≤ 2θ ≤ 90°, by intensity)
d/Å  I (rel.)  hkl
3.192  100  2 0 0
2.601  72  2 0 1
3.671  65  1 0 1
4.487  64  0 0 1
2.116  29  1 0 2
2.018  29  3 1 0

Cell and atoms:
Lattice parameters (Å, degrees): 6.384 6.384 4.487 90.00 90.00 90.00
Space group P4/nmm (No. 129, origin choice 2)
Symmetry-distinct sites (fractional):
Li 0.000 0.000 0.000 x4
Mn 0.250 0.250 0.380 x2
Si 0.250 0.750 0.500 x2
O 0.044 0.750 0.719 x8
O 0.250 0.250 0.771 x2